Simulated powder X-ray diffraction pattern
Compound: SmNi2C2
Radiation: Cu Kα (weighted mean of Kα1 and Kα2)
Structure: a DFT-relaxed cell (GGA-PBE, Alexandria)
Peak positions follow from Bragg's law for the DFT cell and can differ from measured ones.

Crystal structure
```
SmNi2C2
1.0
1.865 -4.610 0.000
1.865 4.610 0.000
0.000 0.000 7.017
Sm Ni C
2 4 4
Direct
0.071 0.929 0.750
0.929 0.071 0.250
0.343 0.657 0.557
0.343 0.657 0.943
0.657 0.343 0.057
0.657 0.343 0.443
0.196 0.804 0.151
0.196 0.804 0.349
0.804 0.196 0.651
0.804 0.196 0.849
```

Most intense lines, 2θ = 10–90°, sorted by position:
2theta  I/Imax
28.78  37
32.06  31
36.48  100
37.93  26
40.13  55
41.23  37
43.38  42
48.82  26
67.34  22
69.65  20


Simulated powder X-ray diffraction pattern
Compound: Ga3GeRu4
Radiation: Cu Kα (weighted mean of Kα1 and Kα2)
Structure: a DFT-relaxed cell (GGA-PBE, Alexandria)
Peak positions follow from Bragg's law for the DFT cell and can differ from measured ones.

Crystal structure
```
Ga3GeRu4
1.0
3.030 0.000 0.000
0.000 4.289 0.000
0.000 0.000 8.572
Ga Ge Ru
3 1 4
Direct
0.000 0.000 0.000
0.000 0.500 0.246
0.000 0.500 0.754
0.000 0.000 0.500
0.500 0.000 0.257
0.500 0.000 0.743
0.500 0.500 0.000
0.500 0.500 0.500
```

Most intense lines, 2θ = 10–90°, sorted by position:
2theta  I/Imax
29.47  4
42.16  100
52.28  1
61.15  16
69.32  1
77.07  32


Number 2 is which compound? Ga3GeRu4